[1]
Calculated powder X-ray diffraction pattern
Compound: Na3Mn2SbO6
Radiation: Cu Kα, 1.54184 Å
Structure: a DFT-relaxed cell (PBE+U, the Materials Project)

```
Na3Mn2SbO6
1.0
2.785 -4.810 0.000
2.785 4.810 0.000
-1.882 0.000 5.472
Na Mn Sb O
3 2 1 6
direct
0.000 0.000 0.000
0.329 0.671 0.000
0.671 0.329 0.000
0.166 0.834 0.500
0.834 0.166 0.500
0.500 0.500 0.500
0.125 0.431 0.291
0.264 0.264 0.706
0.431 0.125 0.291
0.569 0.875 0.709
0.736 0.736 0.294
0.875 0.569 0.709
```

Main lines, low angle first (10° ≤ 2θ ≤ 90°):
d (Å), Rel. int.
5.472, 100
4.619, 19
2.737, 46
2.634, 58
2.309, 48
2.298, 92
1.653, 27
1.607, 26
1.383, 15
1.317, 24

[2]
Calculated powder X-ray diffraction pattern
Compound: NaMn2Si3O9
Radiation: Cu Kα, 1.54184 Å
Structure: a DFT-relaxed cell (PBE+U, the Materials Project)

```
NaMn2Si3O9
1.0
6.591 0.000 0.000
0.158 7.216 0.000
0.390 1.210 7.396
Na Mn Si O
2 4 6 18
direct
0.000 0.000 0.000
0.247 0.445 0.166
0.477 0.136 0.441
0.490 0.654 0.424
0.757 0.791 0.741
0.770 0.309 0.725
0.268 0.753 0.795
0.277 0.317 0.798
0.479 0.985 0.039
0.768 0.459 0.127
0.970 0.127 0.368
0.978 0.691 0.371
0.050 0.838 0.740
0.056 0.250 0.764
0.191 0.195 0.402
0.197 0.606 0.426
0.266 0.526 0.855
0.327 0.823 0.987
0.351 0.187 0.990
0.460 0.811 0.643
0.468 0.306 0.647
0.513 0.945 0.256
0.564 0.454 0.261
0.683 0.989 0.905
0.735 0.500 0.909
0.779 0.138 0.518
0.787 0.634 0.524
0.896 0.258 0.175
0.919 0.621 0.179
0.980 0.918 0.311
```

Main lines, low angle first (10° ≤ 2θ ≤ 90°):
d (Å), Rel. int.
3.158, 24
3.063, 32
3.023, 100
3.002, 19
2.953, 34
2.801, 60
2.465, 18
2.222, 19
2.132, 19
1.798, 27

[3]
Calculated powder X-ray diffraction pattern
Compound: Na2Mn2Si2O7
Radiation: Cu Kα, 1.54184 Å
Structure: a DFT-relaxed cell (PBE+U, the Materials Project)

```
Na2Mn2Si2O7
1.0
5.822 0.000 0.000
0.000 13.478 0.000
-5.808 0.000 8.884
Na Mn Si O
8 8 8 28
direct
0.022 0.247 0.305
0.022 0.253 0.805
0.285 0.160 0.616
0.285 0.340 0.116
0.715 0.660 0.884
0.715 0.840 0.384
0.978 0.747 0.195
0.978 0.753 0.695
0.153 0.507 0.791
0.153 0.993 0.291
0.453 0.081 0.117
0.453 0.419 0.617
0.547 0.581 0.383
0.547 0.919 0.883
0.847 0.007 0.709
0.847 0.493 0.209
0.209 0.619 0.528
0.209 0.881 0.028
0.366 0.667 0.050
0.366 0.833 0.550
0.634 0.167 0.450
0.634 0.333 0.950
0.791 0.119 0.972
0.791 0.381 0.472
0.089 0.164 0.023
0.089 0.336 0.523
0.105 0.633 0.882
0.105 0.867 0.382
0.211 0.541 0.408
0.211 0.959 0.908
0.303 0.652 0.180
0.303 0.848 0.680
0.350 0.117 0.417
0.350 0.383 0.917
0.363 0.560 0.691
0.363 0.940 0.191
0.419 0.710 0.542
0.419 0.790 0.042
0.581 0.210 0.958
0.581 0.290 0.458
0.637 0.060 0.809
0.637 0.440 0.309
0.650 0.617 0.083
0.650 0.883 0.583
0.697 0.152 0.320
0.697 0.348 0.820
0.789 0.041 0.092
0.789 0.459 0.592
0.895 0.133 0.618
0.895 0.367 0.118
0.911 0.664 0.477
0.911 0.836 0.977
```

Main lines, low angle first (10° ≤ 2θ ≤ 90°):
d (Å), Rel. int.
7.417, 33
3.417, 44
3.158, 26
2.911, 30
2.773, 100
2.709, 46
2.684, 37
2.639, 30
2.443, 26
2.141, 28

[4]
Calculated powder X-ray diffraction pattern
Compound: Na2Ti3MnSi4O22
Radiation: Cu Kα, 1.54184 Å
Structure: a DFT-relaxed cell (PBE+U, the Materials Project)

```
Na2Ti3MnSi4O22
1.0
5.697 0.000 0.000
0.570 6.988 0.000
2.517 0.519 11.951
Na Ti Mn Si O
2 3 1 4 22
direct
0.000 0.000 0.000
0.480 0.756 0.989
0.012 0.218 0.236
0.020 0.482 0.976
0.469 0.137 0.723
0.495 0.269 0.994
0.541 0.990 0.210
0.737 0.583 0.177
0.855 0.829 0.778
0.951 0.241 0.772
0.028 0.999 0.780
0.069 0.651 0.561
0.095 0.384 0.466
0.116 0.264 0.086
0.209 0.323 0.720
0.273 0.677 0.507
0.287 0.095 0.275
0.297 0.430 0.420
0.332 0.491 0.929
0.369 0.025 0.588
0.433 0.108 0.882
0.539 0.754 0.229
0.556 0.125 0.547
0.584 0.034 0.074
0.633 0.862 0.721
0.635 0.456 0.089
0.741 0.281 0.703
0.777 0.052 0.254
0.849 0.453 0.273
0.866 0.287 0.906
0.889 0.668 0.869
0.967 0.674 0.087
```

Main lines, low angle first (10° ≤ 2θ ≤ 90°):
d (Å), Rel. int.
6.981, 100
4.640, 31
4.510, 72
4.445, 45
3.982, 43
3.714, 34
2.988, 49
2.901, 26
2.833, 37
2.595, 28

Which formula does entry 3 have? Na2Mn2Si2O7